The following is a computed powder XRD pattern of NaSrB2H8. It was derived from a structure optimized by DFT (GGA-PBE), using CuKα.

Largest 12 diffraction maxima, low angle first, 2θ = 15–90°:
| 2theta | d [Å] | I_rel |
| --- | --- | --- |
| 24.30 | 3.663 | 40.3 |
| 25.37 | 3.511 | 88.0 |
| 29.38 | 3.040 | 100.0 |
| 32.07 | 2.791 | 18.0 |
| 38.41 | 2.344 | 15.3 |
| 42.03 | 2.150 | 69.8 |
| 44.09 | 2.054 | 16.3 |
| 49.71 | 1.834 | 40.2 |
| 52.14 | 1.754 | 18.1 |
| 69.01 | 1.361 | 14.7 |
| 69.15 | 1.358 | 14.7 |
| 76.85 | 1.240 | 16.4 |

Atomic structure:
```
12
Lattice="2.1475 1.2398 7.0374 -2.1475 1.2398 7.0374 0.0000 -2.4797 7.0374" Properties=species:S:1:pos:R:3 pbc="T T T"
Na 0.0000 0.0000 0.0000
Sr 0.0000 0.0000 10.5560
B 0.0000 0.0000 5.3643
B 0.0000 0.0000 15.7478
H -1.1449 -0.6610 8.2970
H 0.0000 0.0000 4.1019
H 0.0000 -1.3220 12.8151
H -1.1449 0.6610 12.8151
H 1.1449 -0.6610 8.2970
H 0.0000 1.3220 8.2970
H 0.0000 0.0000 17.0102
H 1.1449 0.6610 12.8151
```